Structure and calculated PXRD pattern of Ce2HoGa2Pd2 (a GGA-PBE-relaxed structure; Cu Ka).

Top 10 peaks for 2θ from 15° to 90°, by angle:
- 2θ 28.93, d 3.087, I 17
- 2θ 33.58, d 2.669, I 91
- 2θ 36.21, d 2.481, I 70
- 2θ 40.78, d 2.213, I 100
- 2θ 53.81, d 1.704, I 24
- 2θ 55.66, d 1.651, I 20
- 2θ 68.73, d 1.366, I 40
- 2θ 69.65, d 1.350, I 22
- 2θ 71.25, d 1.323, I 19
- 2θ 74.23, d 1.278, I 17

Cell and atoms:
```
data_Ce2HoGa2Pd2
_symmetry_space_group_name_H-M 'R -3 m'
_symmetry_Int_Tables_number 166
_symmetry_space_group_name_Hall '-R 3 2"'
_cell_length_a 4.4258
_cell_length_b 4.4258
_cell_length_c 26.0344
_cell_angle_alpha 90.00
_cell_angle_beta 90.00
_cell_angle_gamma 120.00
loop_
_atom_site_label
_atom_site_type_symbol
_atom_site_fract_x
_atom_site_fract_y
_atom_site_fract_z
_atom_site_occupancy
Ce1 Ce 0.0000 0.0000 0.1367 1
Ho1 Ho 0.0000 0.0000 0.0000 1
Ga1 Ga 0.0000 0.0000 0.2634 1
Pd1 Pd 0.0000 0.0000 0.4007 1
```


Structure and calculated PXRD pattern of CeHoGa5Pt2 (a GGA-PBE-relaxed structure; Cu Ka).

Top 10 peaks for 2θ from 15° to 90°, by angle:
- 2θ 26.52, d 3.361, I 30
- 2θ 26.93, d 3.310, I 100
- 2θ 37.86, d 2.376, I 61
- 2θ 39.05, d 2.307, I 17
- 2θ 47.07, d 1.930, I 45
- 2θ 47.83, d 1.902, I 27
- 2θ 54.62, d 1.680, I 21
- 2θ 55.52, d 1.655, I 25
- 2θ 69.17, d 1.358, I 13
- 2θ 75.50, d 1.259, I 14

Cell and atoms:
```
data_CeHoGa5Pt2
_symmetry_space_group_name_H-M 'P 4/m m m'
_symmetry_Int_Tables_number 123
_symmetry_space_group_name_Hall '-P 4 2'
_cell_length_a 4.7526
_cell_length_b 4.7526
_cell_length_c 9.2276
_cell_angle_alpha 90.00
_cell_angle_beta 90.00
_cell_angle_gamma 90.00
loop_
_atom_site_label
_atom_site_type_symbol
_atom_site_fract_x
_atom_site_fract_y
_atom_site_fract_z
_atom_site_occupancy
Ce1 Ce 0.0000 0.0000 0.0000 1
Ho1 Ho 0.0000 0.0000 0.5000 1
Ga1 Ga 0.0000 0.5000 0.3031 1
Ga2 Ga 0.5000 0.5000 0.0000 1
Pt1 Pt 0.5000 0.5000 0.2511 1
```